Structure and computed powder XRD pattern of CsAg3PtO4 (a DFT-relaxed cell (PBE, OQMD); λ = 1.5418 Å (Cu Kα)).
Peak positions follow from Bragg's law for the DFT cell and can differ from measured ones.

Largest 6 diffraction maxima, by angle, 2θ from 10° to 90°:
hkl 1 0 0, 15.5 deg, I 54; hkl 1 1 0, 22.0 deg, I 60; hkl 1 1 1, 27.1 deg, I 44; hkl 2 0 0, 31.3 deg, I 99; hkl 2 2 0, 44.9 deg, I 100; hkl 4 2 0, 74.3 deg, I 36

```
CsAg3PtO4
1.0
5.7085 0.0000 0.0000
0.0000 5.7085 0.0000
0.0000 0.0000 5.7085
Cs Ag Pt O
1 3 1 4
Direct
0.0000 0.0000 0.0000
0.0000 0.5000 0.5000
0.5000 0.0000 0.5000
0.5000 0.5000 0.0000
0.5000 0.5000 0.5000
0.2902 0.2902 0.2902
0.2902 0.7098 0.7098
0.7098 0.2902 0.7098
0.7098 0.7098 0.2902
```